Diffraction record for Li3Fe2P2C2O14. The X-ray powder pattern is calculated, not measured: it uses a cell relaxed with PBE+U and Cu Kα X-rays.

Cell and atoms:
abc: 8.185 8.192 9.380
angles: 106.66 106.86 102.88
Element x y z (fractional)
Li (0.000, 0.000, 0.000)
Li (0.060, 0.345, 0.388)
Li (0.282, 0.788, 0.560)
Li (0.440, 0.223, 0.181)
Li (0.554, 0.844, 0.383)
Li (0.935, 0.725, 0.177)
Fe (0.056, 0.352, 0.950)
Fe (0.439, 0.231, 0.610)
Fe (0.559, 0.849, 0.957)
Fe (0.931, 0.724, 0.612)
P (0.200, 0.488, 0.704)
P (0.300, 0.082, 0.857)
P (0.694, 0.983, 0.705)
P (0.794, 0.591, 0.859)
C (0.238, 0.031, 0.322)
C (0.244, 0.539, 0.241)
C (0.745, 0.530, 0.320)
C (0.754, 0.039, 0.236)
O (0.071, 0.371, 0.755)
O (0.092, 0.569, 0.590)
O (0.107, 0.395, 0.206)
O (0.117, 0.939, 0.182)
O (0.160, 0.923, 0.702)
O (0.209, 0.177, 0.965)
O (0.229, 0.994, 0.447)
O (0.266, 0.368, 0.588)
O (0.278, 0.556, 0.118)
O (0.339, 0.656, 0.382)
O (0.350, 0.634, 0.858)
O (0.376, 0.172, 0.355)
O (0.417, 0.211, 0.808)
O (0.418, 0.014, 0.977)
O (0.553, 0.862, 0.749)
O (0.587, 0.064, 0.596)
O (0.608, 0.903, 0.200)
O (0.637, 0.421, 0.182)
O (0.650, 0.446, 0.705)
O (0.721, 0.704, 0.976)
O (0.722, 0.507, 0.446)
O (0.761, 0.863, 0.590)
O (0.778, 0.053, 0.106)
O (0.851, 0.119, 0.861)
O (0.859, 0.145, 0.374)
O (0.883, 0.671, 0.353)
O (0.911, 0.519, 0.972)
O (0.920, 0.730, 0.819)

The 6 most intense peaks (10 to 80 degrees two-theta), by angle:
Position (°2θ), d [Å], I/Imax, (hkl)
10.6, 8.316, 80.7, 0 0 1
17.5, 5.073, 40.9, 1 -1 1
19.6, 4.525, 56.0, 1 1 0
21.3, 4.170, 72.4, 1 1 -2
26.4, 3.373, 35.0, 1 1 1
27.9, 3.202, 100.0, 2 -2 0

---

Diffraction record for Li2CoSiO4. The X-ray powder pattern is calculated, not measured: it uses a cell relaxed with PBE+U and Cu Kα X-rays.

Cell and atoms:
abc: 10.823 5.031 6.303
angles: 90.00 90.00 90.00
Element x y z (fractional)
Li (0.092, 0.195, 0.000)
Li (0.171, 0.691, 0.248)
Li (0.329, 0.191, 0.748)
Li (0.408, 0.695, 0.500)
Li (0.592, 0.305, 0.000)
Li (0.671, 0.809, 0.248)
Li (0.829, 0.309, 0.748)
Li (0.908, 0.805, 0.500)
Co (0.088, 0.195, 0.494)
Co (0.412, 0.695, 0.994)
Co (0.588, 0.305, 0.494)
Co (0.912, 0.805, 0.994)
Si (0.164, 0.684, 0.747)
Si (0.336, 0.184, 0.247)
Si (0.664, 0.816, 0.747)
Si (0.836, 0.316, 0.247)
O (0.092, 0.789, 0.530)
O (0.095, 0.792, 0.965)
O (0.161, 0.355, 0.747)
O (0.191, 0.295, 0.248)
O (0.309, 0.795, 0.748)
O (0.339, 0.855, 0.247)
O (0.405, 0.292, 0.465)
O (0.408, 0.289, 0.030)
O (0.592, 0.711, 0.530)
O (0.595, 0.708, 0.965)
O (0.661, 0.145, 0.747)
O (0.691, 0.205, 0.248)
O (0.809, 0.705, 0.748)
O (0.839, 0.645, 0.247)
O (0.905, 0.208, 0.465)
O (0.908, 0.211, 0.030)

The 6 most intense peaks (10 to 80 degrees two-theta), by angle:
Position (°2θ), d [Å], I/Imax, (hkl)
21.6, 4.106, 98.0, 2 0 1
22.6, 3.932, 100.0, 0 1 1
32.9, 2.723, 57.5, 2 0 2
33.1, 2.706, 38.0, 4 0 0
35.7, 2.515, 55.7, 0 2 0
59.0, 1.566, 33.7, 6 0 2

---

Diffraction record for LiNiSO4F. The X-ray powder pattern is calculated, not measured: it uses a cell relaxed with PBE+U and Cu Kα X-rays.

Cell and atoms:
abc: 5.432 7.271 10.282
angles: 103.70 100.88 107.39
Element x y z (fractional)
Li (0.246, 0.404, 0.116)
Li (0.254, 0.096, 0.383)
Li (0.746, 0.904, 0.617)
Li (0.754, 0.596, 0.884)
Ni (0.250, 0.250, 0.749)
Ni (0.250, 0.750, 0.750)
Ni (0.750, 0.250, 0.250)
Ni (0.750, 0.750, 0.251)
S (0.226, 0.836, 0.087)
S (0.274, 0.664, 0.413)
S (0.726, 0.336, 0.587)
S (0.774, 0.164, 0.913)
O (0.056, 0.265, 0.909)
O (0.116, 0.795, 0.388)
O (0.148, 0.461, 0.304)
O (0.201, 0.856, 0.946)
O (0.299, 0.644, 0.554)
O (0.353, 0.039, 0.196)
O (0.384, 0.705, 0.112)
O (0.444, 0.235, 0.591)
O (0.556, 0.765, 0.409)
O (0.616, 0.295, 0.888)
O (0.647, 0.961, 0.804)
O (0.701, 0.356, 0.446)
O (0.799, 0.144, 0.054)
O (0.852, 0.539, 0.696)
O (0.884, 0.205, 0.612)
O (0.944, 0.735, 0.091)
F (0.105, 0.948, 0.692)
F (0.395, 0.552, 0.808)
F (0.605, 0.448, 0.192)
F (0.895, 0.052, 0.308)

The 6 most intense peaks (10 to 80 degrees two-theta), by angle:
Position (°2θ), d [Å], I/Imax, (hkl)
18.5, 4.790, 76.4, 0 0 2
26.0, 3.422, 35.8, 1 1 0
26.9, 3.309, 100.0, 1 -2 1
27.1, 3.295, 51.6, 0 2 0
28.7, 3.115, 92.2, 1 0 -3
36.1, 2.486, 50.9, 2 0 0

---

Diffraction record for LuTlMo2O8. The X-ray powder pattern is calculated, not measured: it uses a cell relaxed with PBE+U and Cu Kα X-rays.

Cell and atoms:
abc: 15.156 6.097 9.051
angles: 90.00 90.00 90.00
Element x y z (fractional)
Lu (0.106, 0.250, 0.195)
Lu (0.394, 0.750, 0.695)
Lu (0.606, 0.250, 0.305)
Lu (0.894, 0.750, 0.805)
Tl (0.125, 0.750, 0.556)
Tl (0.375, 0.250, 0.056)
Tl (0.625, 0.750, 0.944)
Tl (0.875, 0.250, 0.444)
Mo (0.039, 0.250, 0.783)
Mo (0.216, 0.750, 0.997)
Mo (0.284, 0.250, 0.497)
Mo (0.461, 0.750, 0.283)
Mo (0.539, 0.250, 0.717)
Mo (0.716, 0.750, 0.503)
Mo (0.784, 0.250, 0.003)
Mo (0.961, 0.750, 0.217)
O (0.019, 0.509, 0.289)
O (0.019, 0.991, 0.289)
O (0.037, 0.250, 0.981)
O (0.140, 0.750, 0.853)
O (0.148, 0.250, 0.719)
O (0.176, 0.250, 0.408)
O (0.195, 0.502, 0.103)
O (0.195, 0.998, 0.103)
O (0.305, 0.002, 0.603)
O (0.305, 0.498, 0.603)
O (0.324, 0.750, 0.908)
O (0.352, 0.750, 0.219)
O (0.360, 0.250, 0.353)
O (0.463, 0.750, 0.481)
O (0.481, 0.009, 0.789)
O (0.481, 0.491, 0.789)
O (0.519, 0.509, 0.211)
O (0.519, 0.991, 0.211)
O (0.537, 0.250, 0.519)
O (0.640, 0.750, 0.647)
O (0.648, 0.250, 0.781)
O (0.676, 0.250, 0.092)
O (0.695, 0.502, 0.397)
O (0.695, 0.998, 0.397)
O (0.805, 0.002, 0.897)
O (0.805, 0.498, 0.897)
O (0.824, 0.750, 0.592)
O (0.852, 0.750, 0.281)
O (0.860, 0.250, 0.147)
O (0.963, 0.750, 0.019)
O (0.981, 0.009, 0.711)
O (0.981, 0.491, 0.711)

The 6 most intense peaks (10 to 80 degrees two-theta), by angle:
Position (°2θ), d [Å], I/Imax, (hkl)
17.5, 5.057, 20.2, 0 1 1
22.9, 3.885, 29.6, 2 0 2
24.9, 3.574, 77.6, 3 1 1
27.2, 3.277, 100.0, 2 1 2
29.3, 3.048, 51.4, 0 2 0
29.5, 3.032, 45.8, 4 1 1

---

Diffraction record for LiP4WO13. The X-ray powder pattern is calculated, not measured: it uses a cell relaxed with PBE+U and Cu Kα X-rays.

Cell and atoms:
abc: 5.243 8.092 14.022
angles: 78.80 85.84 80.10
Element x y z (fractional)
Li (0.000, 0.000, 0.000)
Li (0.454, 0.148, 0.516)
P (0.081, 0.967, 0.682)
P (0.118, 0.880, 0.207)
P (0.310, 0.746, 0.862)
P (0.429, 0.641, 0.353)
P (0.442, 0.418, 0.658)
P (0.571, 0.336, 0.131)
P (0.751, 0.193, 0.806)
P (0.792, 0.120, 0.315)
W (0.000, 0.488, 0.243)
W (0.876, 0.588, 0.756)
O (0.137, 0.021, 0.124)
O (0.151, 0.501, 0.668)
O (0.151, 0.611, 0.843)
O (0.218, 0.017, 0.588)
O (0.244, 0.809, 0.954)
O (0.258, 0.509, 0.337)
O (0.279, 0.901, 0.768)
O (0.284, 0.420, 0.155)
O (0.382, 0.708, 0.444)
O (0.387, 0.794, 0.254)
O (0.475, 0.274, 0.760)
O (0.503, 0.337, 0.572)
O (0.603, 0.668, 0.846)
O (0.607, 0.555, 0.669)
O (0.608, 0.279, 0.037)
O (0.616, 0.177, 0.223)
O (0.637, 0.097, 0.407)
O (0.715, 0.556, 0.332)
O (0.743, 0.466, 0.148)
O (0.745, 0.051, 0.889)
O (0.875, 0.344, 0.824)
O (0.900, 0.832, 0.687)
O (0.912, 0.135, 0.712)
O (0.950, 0.939, 0.300)
O (0.986, 0.737, 0.183)
O (0.994, 0.242, 0.307)

The 6 most intense peaks (10 to 80 degrees two-theta), by angle:
Position (°2θ), d [Å], I/Imax, (hkl)
11.3, 7.834, 34.6, 0 1 0
12.9, 6.872, 100.0, 0 0 2
18.7, 4.751, 22.0, 0 1 -2
21.1, 4.209, 19.0, 1 0 2
26.3, 3.393, 19.6, 1 2 0
27.0, 3.298, 18.2, 1 2 2

---

Diffraction record for Na5LiFe2P2C2O14. The X-ray powder pattern is calculated, not measured: it uses a cell relaxed with PBE+U and Cu Kα X-rays.

Cell and atoms:
abc: 6.603 8.988 10.384
angles: 90.97 90.19 90.56
Element x y z (fractional)
Na (0.001, 0.239, 0.375)
Na (0.246, 0.418, 0.129)
Na (0.249, 0.417, 0.631)
Na (0.499, 0.239, 0.374)
Na (0.499, 0.240, 0.874)
Na (0.501, 0.760, 0.126)
Na (0.501, 0.761, 0.626)
Na (0.751, 0.583, 0.369)
Na (0.754, 0.582, 0.871)
Na (0.999, 0.761, 0.625)
Li (0.004, 0.232, 0.873)
Li (0.996, 0.768, 0.127)
Fe (0.248, 0.855, 0.356)
Fe (0.250, 0.856, 0.859)
Fe (0.750, 0.144, 0.141)
Fe (0.752, 0.145, 0.644)
P (0.243, 0.085, 0.098)
P (0.250, 0.086, 0.601)
P (0.750, 0.914, 0.399)
P (0.757, 0.915, 0.902)
C (0.243, 0.557, 0.885)
C (0.249, 0.560, 0.383)
C (0.751, 0.440, 0.617)
C (0.757, 0.443, 0.115)
O (0.061, 0.182, 0.144)
O (0.064, 0.181, 0.645)
O (0.235, 0.413, 0.891)
O (0.236, 0.928, 0.158)
O (0.238, 0.072, 0.948)
O (0.245, 0.640, 0.989)
O (0.247, 0.067, 0.452)
O (0.248, 0.623, 0.271)
O (0.248, 0.643, 0.487)
O (0.250, 0.621, 0.773)
O (0.250, 0.933, 0.665)
O (0.252, 0.417, 0.391)
O (0.437, 0.176, 0.141)
O (0.440, 0.181, 0.642)
O (0.560, 0.819, 0.358)
O (0.563, 0.824, 0.859)
O (0.748, 0.583, 0.609)
O (0.750, 0.067, 0.335)
O (0.750, 0.379, 0.227)
O (0.752, 0.357, 0.513)
O (0.752, 0.377, 0.729)
O (0.753, 0.933, 0.548)
O (0.755, 0.360, 0.011)
O (0.762, 0.928, 0.052)
O (0.764, 0.072, 0.842)
O (0.765, 0.587, 0.109)
O (0.936, 0.819, 0.355)
O (0.939, 0.818, 0.856)

The 6 most intense peaks (10 to 80 degrees two-theta), by angle:
Position (°2θ), d [Å], I/Imax, (hkl)
19.6, 4.528, 32.9, 0 1 -2
27.0, 3.301, 100.0, 2 0 0
33.5, 2.672, 45.5, 2 -2 0
33.9, 2.647, 37.1, 2 2 0
34.6, 2.595, 68.3, 0 0 4
42.2, 2.142, 33.8, 1 2 -4

---

Diffraction record for ZnNiSnP2O9. The X-ray powder pattern is calculated, not measured: it uses a cell relaxed with PBE+U and Cu Kα X-rays.

Cell and atoms:
abc: 14.640 6.377 7.692
angles: 90.00 90.00 90.00
Element x y z (fractional)
Zn (0.180, 0.250, 0.028)
Zn (0.320, 0.750, 0.528)
Zn (0.680, 0.250, 0.472)
Zn (0.820, 0.750, 0.972)
Ni (0.000, 0.000, 0.000)
Ni (0.000, 0.500, 0.000)
Ni (0.500, 0.000, 0.500)
Ni (0.500, 0.500, 0.500)
Sn (0.117, 0.250, 0.639)
Sn (0.383, 0.750, 0.139)
Sn (0.617, 0.250, 0.861)
Sn (0.883, 0.750, 0.361)
P (0.070, 0.750, 0.647)
P (0.193, 0.750, 0.123)
P (0.307, 0.250, 0.623)
P (0.430, 0.250, 0.147)
P (0.570, 0.750, 0.853)
P (0.693, 0.750, 0.377)
P (0.807, 0.250, 0.877)
P (0.930, 0.250, 0.353)
O (0.000, 0.250, 0.502)
O (0.000, 0.750, 0.498)
O (0.023, 0.750, 0.826)
O (0.063, 0.250, 0.880)
O (0.134, 0.546, 0.110)
O (0.134, 0.954, 0.110)
O (0.136, 0.564, 0.625)
O (0.136, 0.936, 0.625)
O (0.232, 0.250, 0.477)
O (0.249, 0.250, 0.794)
O (0.251, 0.750, 0.294)
O (0.268, 0.750, 0.977)
O (0.364, 0.064, 0.125)
O (0.364, 0.436, 0.125)
O (0.366, 0.046, 0.610)
O (0.366, 0.454, 0.610)
O (0.437, 0.750, 0.380)
O (0.477, 0.250, 0.326)
O (0.500, 0.250, 0.998)
O (0.500, 0.750, 0.002)
O (0.523, 0.750, 0.674)
O (0.563, 0.250, 0.620)
O (0.634, 0.546, 0.390)
O (0.634, 0.954, 0.390)
O (0.636, 0.564, 0.875)
O (0.636, 0.936, 0.875)
O (0.732, 0.250, 0.023)
O (0.749, 0.250, 0.706)
O (0.751, 0.750, 0.206)
O (0.768, 0.750, 0.523)
O (0.864, 0.064, 0.375)
O (0.864, 0.436, 0.375)
O (0.866, 0.046, 0.890)
O (0.866, 0.454, 0.890)
O (0.937, 0.750, 0.120)
O (0.977, 0.250, 0.174)

The 6 most intense peaks (10 to 80 degrees two-theta), by angle:
Position (°2θ), d [Å], I/Imax, (hkl)
16.7, 5.303, 79.8, 2 0 1
18.5, 4.808, 77.6, 2 1 0
23.9, 3.720, 100.0, 1 0 2
28.0, 3.188, 54.9, 0 2 0
32.7, 2.735, 91.6, 5 0 1
35.6, 2.524, 52.2, 1 0 3